# Ho8ErSc4
Computed powder X-ray diffraction pattern, Cu Kα, 1.54184 Å. Input: a cell relaxed with PBE.

Structural model:
abc: 9.829 9.829 9.829
angles: 41.86 41.86 41.86
Atoms (fractional coordinates):
Ho: 0.211 0.746 0.746
Ho: 0.217 0.217 0.217
Ho: 0.254 0.254 0.789
Ho: 0.254 0.789 0.254
Ho: 0.746 0.211 0.746
Ho: 0.746 0.746 0.211
Ho: 0.783 0.783 0.783
Ho: 0.789 0.254 0.254
Er: 0.000 0.000 0.000
Sc: 0.000 0.500 0.500
Sc: 0.500 0.000 0.500
Sc: 0.500 0.500 0.000
Sc: 0.500 0.500 0.500

Top 10 peaks for 5 to 70 degrees two-theta, low angle first:
Position (°2θ)	I/Imax
19.8	15
29.9	31
30.1	41
32.3	100
33.9	37
37.7	13
40.0	24
52.1	28
53.6	18
61.3	23

# CaZn2Ga4Ir
Computed powder X-ray diffraction pattern, Cu Kα, 1.54184 Å. Input: a cell relaxed with PBE.

Structural model:
abc: 9.637 9.637 9.637
angles: 25.86 25.86 25.86
Atoms (fractional coordinates):
Ca: 0.000 0.000 0.000
Zn: 0.262 0.262 0.262
Zn: 0.738 0.738 0.738
Ga: 0.137 0.137 0.137
Ga: 0.407 0.407 0.407
Ga: 0.593 0.593 0.593
Ga: 0.863 0.863 0.863
Ir: 0.500 0.500 0.500

Top 10 peaks for 5 to 70 degrees two-theta, low angle first:
Position (°2θ)	I/Imax
9.5	100
24.0	29
28.8	24
35.2	74
41.9	92
43.1	39
48.9	17
51.6	22
55.8	19
58.3	20

# Ce7TlSi5
Computed powder X-ray diffraction pattern, Cu Kα, 1.54184 Å. Input: a cell relaxed with PBE.

Structural model:
abc: 7.886 7.886 7.886
angles: 135.77 95.79 100.52
Atoms (fractional coordinates):
Ce: 0.000 0.000 0.000
Ce: 0.012 0.695 0.318
Ce: 0.372 0.372 0.000
Ce: 0.377 0.695 0.682
Ce: 0.479 0.147 0.332
Ce: 0.815 0.147 0.668
Ce: 0.862 0.362 0.500
Tl: 0.681 0.681 0.000
Si: 0.172 0.219 0.534
Si: 0.172 0.638 0.954
Si: 0.412 0.912 0.500
Si: 0.685 0.219 0.046
Si: 0.685 0.638 0.466

Top 10 peaks for 5 to 70 degrees two-theta, low angle first:
Position (°2θ)	I/Imax
12.1	32
29.5	100
30.1	78
30.6	60
34.5	80
35.1	72
39.1	37
46.3	34
46.9	29
61.1	27